1.
Diffraction record for Ca4Tl2CO9. The powder diffractogram is theoretical, not measured: it uses a structure optimized by DFT (GGA-PBE) and λ = 1.5418 Å (Cu Kα).
Kinematic intensities with the Lorentz-polarization factor, no thermal factor.

Crystal structure
Cell: 4.9072 18.4993 4.8308 Å, 90.00 90.00 90.00°
Space group Imm2 (No. 44)
Unique sites:
Ca1 0.0000 0.1080 0.0000 [4 per cell]
Ca2 0.0000 0.3890 0.0170 [4 per cell]
Tl1 0.0000 0.2463 0.5019 [4 per cell]
C1 0.0000 0.5000 0.5192 [2 per cell]
O1 0.0000 0.1290 0.5012 [4 per cell]
O2 0.0000 0.2499 0.0025 [4 per cell]
O3 0.0000 0.3619 0.5077 [4 per cell]
O4 0.0000 0.5000 0.7891 [2 per cell]
O5 0.2279 0.5000 0.3844 [4 per cell]

The 12 most intense peaks (2θ from 10° to 90°), in order of rising 2θ:
| (hkl) | 2θ/deg | I (rel.) |
| --- | --- | --- |
| 0 4 0 | 19.2 | 27 |
| 1 0 1 | 25.9 | 28 |
| 1 2 1 | 27.6 | 100 |
| 0 6 0 | 29.0 | 28 |
| 1 4 1 | 32.4 | 93 |
| 2 0 0 | 36.6 | 34 |
| 0 0 2 | 37.2 | 33 |
| 2 2 0 | 37.9 | 24 |
| 0 2 2 | 38.5 | 23 |
| 0 8 0 | 38.9 | 29 |
| 2 6 0 | 47.4 | 34 |
| 1 10 1 | 56.5 | 24 |

***

2.
Diffraction record for CaPd3C. The powder diffractogram is theoretical, not measured: it uses a structure optimized by DFT (GGA-PBE) and λ = 1.5418 Å (Cu Kα).
Kinematic intensities with the Lorentz-polarization factor, no thermal factor.

Crystal structure
Cell: 4.2816 4.2816 4.2816 Å, 90.00 90.00 90.00°
Space group Pm-3m (No. 221)
Unique sites:
Ca1 0.0000 0.0000 0.0000 [1 per cell]
Pd1 0.0000 0.5000 0.5000 [3 per cell]
C1 0.5000 0.5000 0.5000 [1 per cell]

The 12 most intense peaks (2θ from 10° to 90°), in order of rising 2θ:
| (hkl) | 2θ/deg | I (rel.) |
| --- | --- | --- |
| 1 0 0 | 20.7 | 15 |
| 1 1 0 | 29.5 | 6 |
| 1 1 1 | 36.3 | 100 |
| 2 0 0 | 42.2 | 55 |
| 2 1 0 | 47.5 | 6 |
| 2 1 1 | 52.3 | 3 |
| 2 2 0 | 61.2 | 35 |
| 3 0 0 | 65.4 | 3 |
| 3 1 1 | 73.3 | 37 |
| 2 2 2 | 77.2 | 12 |
| 3 2 0 | 81.0 | 1 |
| 3 2 1 | 84.7 | 2 |

***

3.
Diffraction record for CaSi3C4. The powder diffractogram is theoretical, not measured: it uses a structure optimized by DFT (GGA-PBE) and λ = 1.5418 Å (Cu Kα).
Kinematic intensities with the Lorentz-polarization factor, no thermal factor.

Crystal structure
Cell: 3.1504 3.1504 34.4782 Å, 90.00 90.00 120.00°
Space group R3m (No. 160, hexagonal axes)
Unique sites:
Ca1 0.0000 0.0000 0.0000 [3 per cell]
Si1 0.0000 0.0000 0.2344 [3 per cell]
Si2 0.0000 0.0000 0.4938 [3 per cell]
Si3 0.0000 0.0000 0.7534 [3 per cell]
C1 0.0000 0.0000 0.0718 [3 per cell]
C2 0.0000 0.0000 0.2882 [3 per cell]
C3 0.0000 0.0000 0.5495 [3 per cell]
C4 0.0000 0.0000 0.8101 [3 per cell]

The 12 most intense peaks (2θ from 10° to 90°), in order of rising 2θ:
| (hkl) | 2θ/deg | I (rel.) |
| --- | --- | --- |
| 0 0 12 | 31.1 | 28 |
| 1 0 4 | 34.5 | 100 |
| 0 1 8 | 39.1 | 29 |
| 0 0 15 | 39.2 | 7 |
| 1 0 13 | 47.8 | 7 |
| 1 0 16 | 54.2 | 17 |
| 1 1 0 | 58.6 | 28 |
| 1 0 19 | 61.4 | 7 |
| 0 1 20 | 63.9 | 8 |
| 1 1 12 | 67.9 | 16 |
| 0 2 4 | 69.8 | 11 |
| 2 0 8 | 72.7 | 10 |